1.
Computed XRD peak list
Compound: U2Ni5P3
Radiation: copper Kα
Structure: a cell relaxed with PBE

Crystal structure
Cell lengths 3.875, 21.723, 6.723 Å; angles 90.00, 90.00, 90.00 degrees
Space group Cmc2_1 (No. 36)
One atom of each set of equivalent atoms:
1 U 0.000 0.003 0.000
2 U 0.000 0.338 0.516
3 Ni 0.000 0.113 0.723
4 Ni 0.000 0.206 0.377
5 Ni 0.000 0.226 0.760
6 Ni 0.000 0.367 0.993
7 Ni 0.000 0.452 0.739
8 P 0.000 0.108 0.279
9 P 0.000 0.264 0.072
10 P 0.000 0.439 0.251

Largest 12 diffraction maxima, low angle first, 2θ from 10° to 90°:
24.59 deg, I = 18, hkl 0 6 0
26.08 deg, I = 35, hkl 1 3 0
26.87 deg, I = 17, hkl 1 1 1
33.74 deg, I = 13, hkl 1 5 1
35.65 deg, I = 16, hkl 0 8 1
36.47 deg, I = 43, hkl 0 6 2
37.54 deg, I = 100, hkl 1 3 2
41.16 deg, I = 16, hkl 1 5 2
44.21 deg, I = 36, hkl 1 9 0
46.89 deg, I = 25, hkl 2 0 0
54.63 deg, I = 13, hkl 0 0 4
60.81 deg, I = 24, hkl 2 6 2

---

2.
Computed XRD peak list
Compound: Pr5C2Cl9
Radiation: copper Kα
Structure: a cell relaxed with PBE

Crystal structure
Cell lengths 8.588, 8.694, 12.299 Å; angles 83.86, 85.06, 61.18 degrees
Space group P-1 (No. 2)
One atom of each set of equivalent atoms:
1 Pr 0.103 0.201 0.499
2 Pr 0.136 0.768 0.766
3 Pr 0.199 0.190 0.001
4 Pr 0.223 0.432 0.243
5 Pr 0.393 0.907 0.277
6 C 0.139 0.201 0.309
7 C 0.165 0.194 0.191
8 Cl 0.000 0.000 0.000
9 Cl 0.076 0.846 0.275
10 Cl 0.165 0.364 0.764
11 Cl 0.181 0.548 0.008
12 Cl 0.216 0.461 0.474
13 Cl 0.216 0.828 0.534
14 Cl 0.409 0.896 0.776
15 Cl 0.456 0.834 0.053
16 Cl 0.493 0.479 0.732
17 Cl 0.500 0.000 0.500

Largest 12 diffraction maxima, low angle first, 2θ from 10° to 90°:
11.77 deg, I = 24, hkl 1 0 0
11.97 deg, I = 22, hkl 1 1 0
13.27 deg, I = 23, hkl 1 1 1
21.39 deg, I = 21, hkl 2 1 1
22.58 deg, I = 30, hkl 1 2 -1
24.34 deg, I = 22, hkl 2 1 2
25.21 deg, I = 30, hkl 1 -1 2
26.50 deg, I = 23, hkl 1 2 -2
29.23 deg, I = 100, hkl 0 0 4
31.80 deg, I = 22, hkl 3 1 0
33.54 deg, I = 31, hkl 2 3 2
36.66 deg, I = 32, hkl 2 3 -2

---

3.
Computed XRD peak list
Compound: BiIrPbO6
Radiation: copper Kα
Structure: a cell relaxed with PBE

Crystal structure
Cell lengths 5.034, 5.034, 10.232 Å; angles 90.00, 90.00, 90.00 degrees
Space group P4_2nm (No. 102)
One atom of each set of equivalent atoms:
1 Bi 0.000 0.000 0.000
2 Ir 0.000 0.000 0.666
3 Pb 0.000 0.000 0.334
4 O 0.180 0.180 0.520
5 O 0.180 0.180 0.816
6 O 0.226 0.226 0.166

Largest 12 diffraction maxima, low angle first, 2θ from 10° to 90°:
25.02 deg, I = 100, hkl 1 1 0
31.69 deg, I = 95, hkl 1 0 3
35.67 deg, I = 30, hkl 2 0 0
48.45 deg, I = 71, hkl 2 1 3
51.33 deg, I = 17, hkl 2 2 0
57.93 deg, I = 18, hkl 3 1 0
60.17 deg, I = 18, hkl 1 1 6
61.60 deg, I = 20, hkl 3 0 3
66.19 deg, I = 11, hkl 2 0 6
73.26 deg, I = 18, hkl 3 2 3
82.98 deg, I = 14, hkl 3 1 6
84.23 deg, I = 14, hkl 4 1 3

---

4.
Computed XRD peak list
Compound: Rb2Li2HfSe4
Radiation: copper Kα
Structure: a cell relaxed with PBE

Crystal structure
Cell lengths 15.236, 4.096, 7.993 Å; angles 90.00, 109.34, 90.00 degrees
Space group C2/m (No. 12)
One atom of each set of equivalent atoms:
1 Rb 0.138 0.000 0.063
2 Li 0.180 0.500 0.483
3 Hf 0.000 0.000 0.500
4 Se 0.014 0.500 0.280
5 Se 0.186 0.000 0.664

Largest 12 diffraction maxima, low angle first, 2θ from 10° to 90°:
11.73 deg, I = 27, hkl 0 0 1
12.31 deg, I = 42, hkl 2 0 0
13.92 deg, I = 27, hkl 2 0 -1
22.71 deg, I = 22, hkl 2 0 -2
28.67 deg, I = 25, hkl 3 1 0
30.90 deg, I = 39, hkl 4 0 1
31.31 deg, I = 100, hkl 1 1 -2
33.13 deg, I = 24, hkl 3 1 -2
37.54 deg, I = 23, hkl 6 0 0
44.22 deg, I = 24, hkl 0 2 0
48.29 deg, I = 33, hkl 7 1 -2
51.39 deg, I = 26, hkl 3 1 3